Record 1
The following is a calculated XRD peak list of PbCSNCl. It was derived from a structure optimized by DFT (GGA-PBE), using a wavelength of 1.5418 Å.
No peak broadening, texture or thermal motion is included.

Atomic structure:
abc: 10.264 4.325 9.824
angles: 90.00 90.00 90.00
Space group Pnma (No. 62)
Unique sites:
Pb1 0.190 0.250 0.080 (multiplicity 4)
C1 0.017 0.250 0.641 (multiplicity 4)
S1 0.136 0.750 0.309 (multiplicity 4)
N1 0.127 0.250 0.604 (multiplicity 4)
Cl1 0.097 0.750 0.896 (multiplicity 4)

Main lines, sorted by position (2θ from 5° to 70°):
- d = 7.097 Å, intensity 41, (1 0 1)
- d = 5.132 Å, intensity 40, (2 0 0)
- d = 4.431 Å, intensity 60, (1 0 2)
- d = 3.693 Å, intensity 100, (1 1 1)
- d = 3.231 Å, intensity 40, (3 0 1)
- d = 3.095 Å, intensity 48, (1 1 2)
- d = 2.611 Å, intensity 51, (0 1 3)
- d = 2.355 Å, intensity 47, (3 1 2)
- d = 2.327 Å, intensity 28, (2 1 3)
- d = 2.207 Å, intensity 26, (4 1 0)

Record 2
The following is a calculated XRD peak list of Rb2PtC4N4Cl2. It was derived from a structure optimized by DFT (GGA-PBE), using a wavelength of 1.5418 Å.
No peak broadening, texture or thermal motion is included.

Atomic structure:
abc: 7.108 9.602 9.980
angles: 89.07 75.84 72.59
Space group P-1 (No. 2)
Unique sites:
Rb1 0.127 0.176 0.068 (multiplicity 2)
Rb2 0.288 0.344 0.548 (multiplicity 2)
Pt1 0.000 0.000 0.500 (multiplicity 1)
Pt2 0.500 0.500 0.000 (multiplicity 1)
C1 0.064 0.074 0.667 (multiplicity 2)
C2 0.149 0.795 0.539 (multiplicity 2)
C3 0.292 0.499 0.178 (multiplicity 2)
C4 0.397 0.720 0.994 (multiplicity 2)
N1 0.105 0.116 0.762 (multiplicity 2)
N2 0.172 0.490 0.279 (multiplicity 2)
N3 0.238 0.677 0.561 (multiplicity 2)
N4 0.344 0.846 0.986 (multiplicity 2)
Cl1 0.264 0.472 0.879 (multiplicity 2)
Cl2 0.311 0.021 0.361 (multiplicity 2)

Main lines, sorted by position (2θ from 5° to 70°):
- d = 6.854 Å, intensity 49, (0 1 -1)
- d = 6.445 Å, intensity 49, (0 1 1)
- d = 4.829 Å, intensity 96, (0 0 2)
- d = 4.698 Å, intensity 100, (1 -1 0)
- d = 4.213 Å, intensity 66, (1 2 1)
- d = 3.875 Å, intensity 46, (1 2 -1)
- d = 3.792 Å, intensity 47, (1 -1 2)
- d = 3.518 Å, intensity 55, (2 1 1)
- d = 3.020 Å, intensity 39, (2 1 -1)
- d = 2.960 Å, intensity 58, (0 3 -1)

Record 3
The following is a calculated XRD peak list of SnCSN2Cl2. It was derived from a structure optimized by DFT (GGA-PBE), using a wavelength of 1.5418 Å.
No peak broadening, texture or thermal motion is included.

Atomic structure:
abc: 6.019 15.397 8.650
angles: 90.00 105.66 90.00
Space group P2_1/c (No. 14)
Unique sites:
Sn1 0.105 0.244 0.371 (multiplicity 4)
C1 0.272 0.051 0.697 (multiplicity 4)
S1 0.040 0.104 0.617 (multiplicity 4)
N1 0.385 0.518 0.290 (multiplicity 4)
N2 0.491 0.537 0.766 (multiplicity 4)
Cl1 0.111 0.138 0.082 (multiplicity 4)
Cl2 0.470 0.736 0.053 (multiplicity 4)

Main lines, sorted by position (2θ from 5° to 70°):
- d = 7.699 Å, intensity 100, (0 2 0)
- d = 5.796 Å, intensity 35, (1 0 0)
- d = 5.424 Å, intensity 62, (1 1 0)
- d = 4.630 Å, intensity 31, (1 2 0)
- d = 4.020 Å, intensity 30, (0 1 2)
- d = 3.848 Å, intensity 25, (0 4 0)
- d = 3.494 Å, intensity 45, (1 2 -2)
- d = 3.234 Å, intensity 82, (0 3 2)
- d = 2.848 Å, intensity 42, (2 1 0)
- d = 2.476 Å, intensity 26, (0 5 2)

Record 4
The following is a calculated XRD peak list of SnCSN2Cl2. It was derived from a structure optimized by DFT (GGA-PBE), using a wavelength of 1.5418 Å.
No peak broadening, texture or thermal motion is included.

Atomic structure:
abc: 6.983 15.761 7.050
angles: 90.00 107.05 90.00
Space group P2_1/c (No. 14)
Unique sites:
Sn1 0.156 0.241 0.342 (multiplicity 4)
C1 0.415 0.018 0.743 (multiplicity 4)
S1 0.015 0.162 0.566 (multiplicity 4)
N1 0.269 0.516 0.279 (multiplicity 4)
N2 0.439 0.551 0.792 (multiplicity 4)
Cl1 0.128 0.124 0.093 (multiplicity 4)
Cl2 0.494 0.748 0.047 (multiplicity 4)

Main lines, sorted by position (2θ from 5° to 70°):
- d = 7.880 Å, intensity 100, (0 2 0)
- d = 6.676 Å, intensity 16, (1 0 0)
- d = 6.147 Å, intensity 92, (1 1 0)
- d = 5.094 Å, intensity 20, (1 2 0)
- d = 4.129 Å, intensity 20, (1 3 0)
- d = 3.940 Å, intensity 19, (0 4 0)
- d = 3.266 Å, intensity 38, (2 1 0)
- d = 3.154 Å, intensity 30, (1 2 -2)
- d = 2.837 Å, intensity 27, (0 3 2)
- d = 2.592 Å, intensity 27, (1 4 -2)

Record 5
The following is a calculated XRD peak list of SbCNCl6. It was derived from a structure optimized by DFT (GGA-PBE), using a wavelength of 1.5418 Å.
No peak broadening, texture or thermal motion is included.

Atomic structure:
abc: 13.409 10.127 8.083
angles: 90.00 90.00 90.00
Space group Pnma (No. 62)
Unique sites:
Sb1 0.083 0.250 0.209 (multiplicity 4)
C1 0.055 0.750 0.155 (multiplicity 4)
N1 0.003 0.750 0.040 (multiplicity 4)
Cl1 0.034 0.585 0.715 (multiplicity 8)
Cl2 0.126 0.750 0.314 (multiplicity 4)
Cl3 0.168 0.250 0.466 (multiplicity 4)
Cl4 0.184 0.085 0.083 (multiplicity 8)

Main lines, sorted by position (2θ from 5° to 70°):
- d = 6.704 Å, intensity 23, (2 0 0)
- d = 6.317 Å, intensity 100, (0 1 1)
- d = 5.590 Å, intensity 46, (2 1 0)
- d = 5.160 Å, intensity 79, (2 0 1)
- d = 5.064 Å, intensity 40, (0 2 0)
- d = 4.598 Å, intensity 23, (2 1 1)
- d = 4.041 Å, intensity 20, (0 0 2)
- d = 3.614 Å, intensity 74, (2 2 1)
- d = 3.461 Å, intensity 30, (2 0 2)
- d = 2.642 Å, intensity 28, (4 2 1)

Record 6
The following is a calculated XRD peak list of TiSi2C3N2Cl5. It was derived from a structure optimized by DFT (GGA-PBE), using a wavelength of 1.5418 Å.
No peak broadening, texture or thermal motion is included.

Atomic structure:
abc: 7.404 13.500 15.779
angles: 90.00 111.40 90.00
Space group P2_1/c (No. 14)
Unique sites:
Ti1 0.141 0.089 0.467 (multiplicity 4)
Si1 0.064 0.720 0.667 (multiplicity 4)
Si2 0.303 0.245 0.023 (multiplicity 4)
C1 0.012 0.632 0.747 (multiplicity 4)
C2 0.152 0.562 0.753 (multiplicity 4)
C3 0.165 0.593 0.672 (multiplicity 4)
N1 0.108 0.229 0.424 (multiplicity 4)
N2 0.347 0.131 0.553 (multiplicity 4)
Cl1 0.119 0.592 0.975 (multiplicity 4)
Cl2 0.219 0.167 0.114 (multiplicity 4)
Cl3 0.245 0.042 0.319 (multiplicity 4)
Cl4 0.263 0.672 0.228 (multiplicity 4)
Cl5 0.479 0.668 0.497 (multiplicity 4)

Main lines, sorted by position (2θ from 5° to 70°):
- d = 9.941 Å, intensity 79, (0 1 1)
- d = 7.346 Å, intensity 23, (0 0 2)
- d = 6.894 Å, intensity 28, (1 0 0)
- d = 5.712 Å, intensity 100, (1 1 -2)
- d = 5.105 Å, intensity 61, (1 1 1)
- d = 3.629 Å, intensity 28, (1 2 2)
- d = 3.542 Å, intensity 28, (2 1 -1)
- d = 3.367 Å, intensity 17, (1 2 -4)
- d = 3.336 Å, intensity 18, (1 1 3)
- d = 2.736 Å, intensity 36, (2 1 -5)

Record 7
The following is a calculated XRD peak list of TiSi2C4N2Cl4. It was derived from a structure optimized by DFT (GGA-PBE), using a wavelength of 1.5418 Å.
No peak broadening, texture or thermal motion is included.

Atomic structure:
abc: 7.115 14.158 16.674
angles: 90.00 108.31 90.00
Space group P2_1/c (No. 14)
Unique sites:
Ti1 0.120 0.069 0.426 (multiplicity 4)
Si1 0.005 0.153 0.871 (multiplicity 4)
Si2 0.277 0.238 0.528 (multiplicity 4)
C1 0.115 0.673 0.748 (multiplicity 4)
C2 0.242 0.655 0.710 (multiplicity 4)
C3 0.389 0.184 0.119 (multiplicity 4)
C4 0.483 0.692 0.419 (multiplicity 4)
N1 0.103 0.240 0.937 (multiplicity 4)
N2 0.270 0.118 0.534 (multiplicity 4)
Cl1 0.108 0.589 0.958 (multiplicity 4)
Cl2 0.122 0.024 0.905 (multiplicity 4)
Cl3 0.170 0.590 0.175 (multiplicity 4)
Cl4 0.350 0.061 0.364 (multiplicity 4)

Main lines, sorted by position (2θ from 5° to 70°):
- d = 10.553 Å, intensity 100, (0 1 1)
- d = 7.915 Å, intensity 41, (0 0 2)
- d = 6.909 Å, intensity 19, (0 1 2)
- d = 6.755 Å, intensity 51, (1 0 0)
- d = 5.669 Å, intensity 94, (1 1 -2)
- d = 4.054 Å, intensity 29, (0 3 2)
- d = 3.791 Å, intensity 22, (1 2 2)
- d = 3.454 Å, intensity 16, (0 4 1)
- d = 3.093 Å, intensity 29, (2 0 -4)
- d = 2.786 Å, intensity 18, (0 5 1)

Record 8
The following is a calculated XRD peak list of SnCNCl3. It was derived from a structure optimized by DFT (GGA-PBE), using a wavelength of 1.5418 Å.
No peak broadening, texture or thermal motion is included.

Atomic structure:
abc: 5.287 9.006 8.392
angles: 90.00 90.02 90.00
Space group Pc (No. 7)
Unique sites:
Sn1 0.000 0.178 0.000 (multiplicity 2)
C1 0.697 0.333 0.427 (multiplicity 2)
N1 0.532 0.270 0.492 (multiplicity 2)
Cl1 0.016 0.013 0.741 (multiplicity 2)
Cl2 0.461 0.274 0.005 (multiplicity 2)
Cl3 0.931 0.417 0.341 (multiplicity 2)

Main lines, sorted by position (2θ from 5° to 70°):
- d = 6.139 Å, intensity 100, (0 1 1)
- d = 5.287 Å, intensity 54, (1 0 0)
- d = 4.196 Å, intensity 30, (0 0 2)
- d = 4.006 Å, intensity 43, (1 1 1)
- d = 3.968 Å, intensity 42, (0 2 1)
- d = 3.173 Å, intensity 48, (1 2 -1)
- d = 3.070 Å, intensity 45, (0 2 2)
- d = 2.643 Å, intensity 24, (2 0 0)
- d = 2.428 Å, intensity 27, (2 1 1)
- d = 2.216 Å, intensity 37, (1 3 2)